(1)
Computed PXRD pattern
Compound: Zr4TcAu
Radiation: Cu Kα X-rays
Structure: a DFT-relaxed cell (GGA-PBE, Alexandria)
Kinematic intensities with the Lorentz-polarization factor, no thermal factor.

Main lines, by intensity (2θ = 10–90°):
| Position (°2θ) | d/Å | I_rel |
| --- | --- | --- |
| 36.32 | 2.474 | 100 |
| 38.41 | 2.343 | 45 |
| 68.11 | 1.377 | 31 |
| 63.93 | 1.456 | 16 |
| 55.45 | 1.657 | 15 |
| 15.90 | 5.575 | 10 |
| 77.12 | 1.237 | 9 |
| 49.02 | 1.858 | 9 |
| 31.40 | 2.849 | 8 |
| 83.25 | 1.161 | 6 |

Atomic structure:
abc: 3.314 3.314 11.151
angles: 90.00 90.00 90.00
Space group P4/mmm (No. 123)
Inequivalent atoms, fractional coordinates:
1 Zr 0.000 0.000 0.144
2 Zr 0.500 0.500 0.332
3 Tc 0.500 0.500 0.000
4 Au 0.000 0.000 0.500

(2)
Computed PXRD pattern
Compound: ZrTcAu4
Radiation: Cu Kα X-rays
Structure: a DFT-relaxed cell (GGA-PBE, Alexandria)
Kinematic intensities with the Lorentz-polarization factor, no thermal factor.

Main lines, by intensity (2θ = 10–90°):
| Position (°2θ) | d/Å | I_rel |
| --- | --- | --- |
| 38.99 | 2.310 | 100 |
| 40.80 | 2.212 | 65 |
| 20.07 | 4.423 | 40 |
| 63.05 | 1.474 | 33 |
| 69.39 | 1.354 | 32 |
| 83.74 | 1.155 | 26 |
| 47.47 | 1.915 | 18 |
| 82.57 | 1.168 | 12 |
| 52.03 | 1.758 | 11 |
| 33.07 | 2.709 | 10 |

Atomic structure:
abc: 7.661 7.661 7.661
angles: 90.00 90.00 90.00
Space group F-43m (No. 216)
Inequivalent atoms, fractional coordinates:
1 Zr 0.000 0.000 0.000
2 Tc 0.250 0.250 0.250
3 Au 0.125 0.125 0.625

(3)
Computed PXRD pattern
Compound: Te5Au
Radiation: Cu Kα X-rays
Structure: a DFT-relaxed cell (GGA-PBE, Alexandria)
Kinematic intensities with the Lorentz-polarization factor, no thermal factor.

Main lines, by intensity (2θ = 10–90°):
| Position (°2θ) | d/Å | I_rel |
| --- | --- | --- |
| 28.81 | 3.098 | 100 |
| 28.23 | 3.161 | 43 |
| 41.52 | 2.175 | 33 |
| 40.03 | 2.253 | 32 |
| 41.18 | 2.192 | 22 |
| 41.21 | 2.190 | 18 |
| 11.23 | 7.878 | 17 |
| 50.69 | 1.801 | 17 |
| 67.61 | 1.386 | 17 |
| 59.68 | 1.549 | 14 |

Atomic structure:
abc: 5.280 4.383 7.878
angles: 90.00 90.15 90.00
Space group P2/m (No. 10)
Inequivalent atoms, fractional coordinates:
1 Te 0.000 0.000 0.000
2 Te 0.288 0.500 0.208
3 Te 0.325 0.000 0.641
4 Au 0.000 0.500 0.500

(4)
Computed PXRD pattern
Compound: TeAu5
Radiation: Cu Kα X-rays
Structure: a DFT-relaxed cell (GGA-PBE, Alexandria)
Kinematic intensities with the Lorentz-polarization factor, no thermal factor.

Main lines, by intensity (2θ = 10–90°):
| Position (°2θ) | d/Å | I_rel |
| --- | --- | --- |
| 38.96 | 2.312 | 100 |
| 36.14 | 2.486 | 27 |
| 34.34 | 2.611 | 24 |
| 73.47 | 1.289 | 21 |
| 66.87 | 1.399 | 21 |
| 61.51 | 1.508 | 17 |
| 50.71 | 1.800 | 16 |
| 75.25 | 1.263 | 15 |
| 83.67 | 1.156 | 4 |
| 86.78 | 1.122 | 4 |

Atomic structure:
abc: 5.2223 5.2223 4.9712
angles: 90.00 90.00 120.00
Space group P-62m (No. 189)
Inequivalent atoms, fractional coordinates:
1 Te 0.0000 0.0000 0.0000
2 Au 0.0000 0.6524 0.5000
3 Au 0.3333 0.6667 0.0000

(5)
Computed PXRD pattern
Compound: Te3Au
Radiation: Cu Kα X-rays
Structure: a DFT-relaxed cell (GGA-PBE, Alexandria)
Kinematic intensities with the Lorentz-polarization factor, no thermal factor.

Main lines, by intensity (2θ = 10–90°):
| Position (°2θ) | d/Å | I_rel |
| --- | --- | --- |
| 34.32 | 2.613 | 100 |
| 43.63 | 2.074 | 61 |
| 27.44 | 3.250 | 59 |
| 66.71 | 1.402 | 30 |
| 56.64 | 1.625 | 23 |
| 74.10 | 1.279 | 20 |
| 24.77 | 3.594 | 13 |
| 80.11 | 1.198 | 12 |
| 47.82 | 1.902 | 12 |
| 52.30 | 1.749 | 9 |

Atomic structure:
abc: 8.3011 8.3011 7.6088
angles: 90.00 90.00 120.00
Space group P6_3/mmc (No. 194)
Inequivalent atoms, fractional coordinates:
1 Te 0.0000 0.5000 0.0000
2 Te 0.1564 0.3128 0.2500
3 Au 0.0000 0.0000 0.0000
4 Au 0.3333 0.6667 0.7500

(6)
Computed PXRD pattern
Compound: Te4Au
Radiation: Cu Kα X-rays
Structure: a DFT-relaxed cell (GGA-PBE, Alexandria)
Kinematic intensities with the Lorentz-polarization factor, no thermal factor.

Main lines, by intensity (2θ = 10–90°):
| Position (°2θ) | d/Å | I_rel |
| --- | --- | --- |
| 30.01 | 2.978 | 100 |
| 11.73 | 7.545 | 88 |
| 31.29 | 2.859 | 72 |
| 23.45 | 3.794 | 65 |
| 40.43 | 2.231 | 64 |
| 44.37 | 2.042 | 46 |
| 31.58 | 2.833 | 43 |
| 30.31 | 2.949 | 42 |
| 47.16 | 1.927 | 36 |
| 23.58 | 3.773 | 27 |

Atomic structure:
abc: 7.564 5.532 7.726
angles: 90.00 94.00 90.00
Space group P2_1/c (No. 14)
Inequivalent atoms, fractional coordinates:
1 Te 0.210 0.226 0.236
2 Te 0.282 0.668 0.524
3 Au 0.000 0.000 0.500

(7)
Computed PXRD pattern
Compound: Th3Te6Au
Radiation: Cu Kα X-rays
Structure: a DFT-relaxed cell (GGA-PBE, Alexandria)
Kinematic intensities with the Lorentz-polarization factor, no thermal factor.

Main lines, by intensity (2θ = 10–90°):
| Position (°2θ) | d/Å | I_rel |
| --- | --- | --- |
| 33.16 | 2.701 | 100 |
| 22.82 | 3.897 | 96 |
| 37.36 | 2.407 | 87 |
| 30.75 | 2.907 | 72 |
| 22.28 | 3.991 | 60 |
| 34.29 | 2.615 | 53 |
| 44.01 | 2.057 | 43 |
| 30.67 | 2.915 | 40 |
| 62.06 | 1.495 | 38 |
| 43.28 | 2.090 | 36 |

Atomic structure:
abc: 12.346 14.832 7.379
angles: 90.00 90.00 90.00
Space group Cmc2_1 (No. 36)
Inequivalent atoms, fractional coordinates:
1 Th 0.000 0.107 0.000
2 Th 0.167 0.404 0.110
3 Te 0.000 0.271 0.295
4 Te 0.000 0.458 0.794
5 Te 0.163 0.036 0.306
6 Te 0.191 0.228 0.854
7 Au 0.000 0.252 0.673

(8)
Computed PXRD pattern
Compound: Th3Te2Au
Radiation: Cu Kα X-rays
Structure: a DFT-relaxed cell (GGA-PBE, Alexandria)
Kinematic intensities with the Lorentz-polarization factor, no thermal factor.

Main lines, by intensity (2θ = 10–90°):
| Position (°2θ) | d/Å | I_rel |
| --- | --- | --- |
| 28.51 | 3.131 | 100 |
| 40.79 | 2.212 | 38 |
| 40.73 | 2.215 | 37 |
| 66.82 | 1.400 | 23 |
| 50.56 | 1.805 | 14 |
| 59.00 | 1.565 | 12 |
| 74.08 | 1.280 | 9 |
| 74.29 | 1.277 | 8 |
| 24.63 | 3.615 | 7 |
| 50.40 | 1.811 | 7 |

Atomic structure:
abc: 6.259 13.261 8.875
angles: 90.00 90.02 90.00
Space group P2_1/c (No. 14)
Inequivalent atoms, fractional coordinates:
1 Th 0.249 0.079 0.148
2 Th 0.250 0.074 0.605
3 Th 0.250 0.747 0.127
4 Te 0.250 0.237 0.877
5 Te 0.251 0.579 0.380
6 Au 0.250 0.592 0.872

(9)
Computed PXRD pattern
Compound: Th3Tl4Te8Au
Radiation: Cu Kα X-rays
Structure: a DFT-relaxed cell (GGA-PBE, Alexandria)
Kinematic intensities with the Lorentz-polarization factor, no thermal factor.

Main lines, by intensity (2θ = 10–90°):
| Position (°2θ) | d/Å | I_rel |
| --- | --- | --- |
| 27.08 | 3.292 | 100 |
| 37.26 | 2.413 | 39 |
| 40.00 | 2.254 | 25 |
| 49.10 | 1.856 | 13 |
| 40.17 | 2.245 | 12 |
| 65.00 | 1.435 | 12 |
| 65.27 | 1.430 | 11 |
| 61.13 | 1.516 | 11 |
| 55.90 | 1.645 | 8 |
| 44.21 | 2.049 | 7 |

Atomic structure:
abc: 15.640 8.979 9.717
angles: 90.00 122.50 90.00
Space group C2/m (No. 12)
Inequivalent atoms, fractional coordinates:
1 Th 0.000 0.000 0.000
2 Th 0.250 0.250 0.000
3 Tl 0.000 0.000 0.500
4 Tl 0.000 0.500 0.500
5 Tl 0.250 0.250 0.500
6 Te 0.012 0.255 0.789
7 Te 0.237 0.500 0.214
8 Te 0.241 0.000 0.225
9 Au 0.000 0.500 0.000

(10)
Computed PXRD pattern
Compound: Tl4Te3Au
Radiation: Cu Kα X-rays
Structure: a DFT-relaxed cell (GGA-PBE, Alexandria)
Kinematic intensities with the Lorentz-polarization factor, no thermal factor.

Main lines, by intensity (2θ = 10–90°):
| Position (°2θ) | d/Å | I_rel |
| --- | --- | --- |
| 28.94 | 3.085 | 100 |
| 31.21 | 2.865 | 67 |
| 32.20 | 2.780 | 55 |
| 35.03 | 2.562 | 42 |
| 32.02 | 2.795 | 37 |
| 40.60 | 2.222 | 24 |
| 51.96 | 1.760 | 24 |
| 51.04 | 1.789 | 21 |
| 28.74 | 3.106 | 20 |
| 50.35 | 1.812 | 17 |

Atomic structure:
abc: 12.815 12.815 6.212
angles: 90.00 90.00 90.00
Space group I4/mcm (No. 140)
Inequivalent atoms, fractional coordinates:
1 Tl 0.087 0.227 0.000
2 Te 0.000 0.000 0.250
3 Te 0.136 0.364 0.500
4 Au 0.000 0.500 0.250

(11)
Computed PXRD pattern
Compound: Tl8Te2Au
Radiation: Cu Kα X-rays
Structure: a DFT-relaxed cell (GGA-PBE, Alexandria)
Kinematic intensities with the Lorentz-polarization factor, no thermal factor.

Main lines, by intensity (2θ = 10–90°):
| Position (°2θ) | d/Å | I_rel |
| --- | --- | --- |
| 29.68 | 3.010 | 100 |
| 30.02 | 2.976 | 31 |
| 32.61 | 2.746 | 30 |
| 39.01 | 2.309 | 27 |
| 29.03 | 3.076 | 20 |
| 49.89 | 1.828 | 14 |
| 29.81 | 2.997 | 12 |
| 64.99 | 1.435 | 11 |
| 45.72 | 1.984 | 11 |
| 34.45 | 2.603 | 10 |

Atomic structure:
abc: 19.507 4.618 8.017
angles: 90.00 93.69 90.00
Space group C2/m (No. 12)
Inequivalent atoms, fractional coordinates:
1 Tl 0.002 0.000 0.263
2 Tl 0.092 0.500 0.015
3 Tl 0.151 0.500 0.551
4 Tl 0.214 0.000 0.856
5 Te 0.172 0.000 0.277
6 Au 0.000 0.500 0.500

(12)
Computed PXRD pattern
Compound: TlTeAu
Radiation: Cu Kα X-rays
Structure: a DFT-relaxed cell (GGA-PBE, Alexandria)
Kinematic intensities with the Lorentz-polarization factor, no thermal factor.

Main lines, by intensity (2θ = 10–90°):
| Position (°2θ) | d/Å | I_rel |
| --- | --- | --- |
| 39.14 | 2.301 | 100 |
| 31.18 | 2.869 | 58 |
| 23.88 | 3.726 | 56 |
| 39.86 | 2.261 | 55 |
| 32.93 | 2.720 | 50 |
| 52.63 | 1.739 | 46 |
| 52.02 | 1.758 | 32 |
| 27.12 | 3.288 | 30 |
| 33.48 | 2.676 | 29 |
| 13.99 | 6.332 | 26 |

Atomic structure:
abc: 4.608 7.787 10.881
angles: 90.00 90.00 90.00
Space group P2_12_12_1 (No. 19)
Inequivalent atoms, fractional coordinates:
1 Tl 0.239 0.176 0.224
2 Te 0.238 0.452 0.987
3 Au 0.237 0.856 0.006

(13)
Computed PXRD pattern
Compound: TlTeAu
Radiation: Cu Kα X-rays
Structure: a DFT-relaxed cell (GGA-PBE, Alexandria)
Kinematic intensities with the Lorentz-polarization factor, no thermal factor.

Main lines, by intensity (2θ = 10–90°):
| Position (°2θ) | d/Å | I_rel |
| --- | --- | --- |
| 34.84 | 2.575 | 100 |
| 29.39 | 3.039 | 90 |
| 35.26 | 2.545 | 62 |
| 11.01 | 8.037 | 43 |
| 35.40 | 2.536 | 40 |
| 33.45 | 2.679 | 38 |
| 30.95 | 2.889 | 32 |
| 50.42 | 1.810 | 26 |
| 56.03 | 1.641 | 25 |
| 50.49 | 1.808 | 24 |

Atomic structure:
abc: 6.561 3.284 8.668
angles: 90.00 111.99 90.00
Space group P2/m (No. 10)
Inequivalent atoms, fractional coordinates:
1 Tl 0.153 0.000 0.310
2 Te 0.371 0.500 0.742
3 Au 0.209 0.500 0.001